Mg2VGeO6: computed X-ray diffraction stick pattern (Cu Kα (λ = 1.5418 Å)), based on a crystal structure in Alexandria, relaxed with PBE+U.
Kinematic intensities with the Lorentz-polarization factor, no thermal factor.

Most intense lines, 2θ from 10° to 90°, by angle:
2theta	intensity
18.81	73
24.60	49
31.15	100
35.07	33
45.93	36
50.44	39
60.48	28
70.26	22

Crystal structure
```
10
Lattice="5.118 0.000 0.000 0.000 5.118 0.000 0.000 0.000 4.717" Properties=species:S:1:pos:R:3 pbc="T T T"
Mg 0.000 2.559 0.000
Mg 2.559 0.000 0.000
V 0.000 0.000 3.017
Ge 2.559 2.559 3.079
O 0.000 0.000 1.329
O 1.295 1.295 3.747
O 1.295 3.822 3.747
O 2.559 2.559 1.342
O 3.822 1.295 3.747
O 3.822 3.822 3.747
```